# K2Tl3Hg9
Theoretical XRD peak list, copper Kα. Input: the GGA-PBE geometry in Alexandria.
Lines closer than 0.1° are merged.

Crystal structure
```
28
Lattice="8.3227 -4.6992 0.0000 8.3227 4.6992 0.0000 0.0000 0.0000 10.9130" Properties=species:S:1:pos:R:3 pbc="T T T"
K 5.6872 3.1341 8.1847
K 10.9581 3.1341 8.1847
K 5.6872 -3.1341 2.7282
K 10.9581 -3.1341 2.7282
Tl 0.0000 0.0000 0.0000
Tl 0.0000 0.0000 5.4565
Tl 5.1619 0.0000 0.0000
Tl 5.1619 0.0000 5.4565
Tl 11.4834 0.0000 0.0000
Tl 11.4834 0.0000 5.4565
Hg 5.6233 3.0102 1.0446
Hg 5.6233 3.0102 4.4119
Hg 8.3227 3.1477 2.7282
Hg 8.3227 1.5139 6.0147
Hg 8.3227 1.5139 10.3548
Hg 11.0221 3.0102 1.0446
Hg 11.0221 3.0102 4.4119
Hg 6.7186 0.3197 2.7282
Hg 6.7186 -0.3197 8.1847
Hg 9.9268 0.3197 2.7282
Hg 9.9268 -0.3197 8.1847
Hg 5.6233 -3.0102 6.5011
Hg 5.6233 -3.0102 9.8684
Hg 8.3227 -1.5139 0.5582
Hg 8.3227 -1.5139 4.8983
Hg 8.3227 -3.1477 8.1847
Hg 11.0221 -3.0102 6.5011
Hg 11.0221 -3.0102 9.8684
```

Largest 10 diffraction maxima, low angle first, 10° ≤ 2θ ≤ 90°:
13.5 deg, I = 33
30.9 deg, I = 76
31.1 deg, I = 24
32.3 deg, I = 29
32.9 deg, I = 100
33.4 deg, I = 23
36.3 deg, I = 22
36.8 deg, I = 48
38.0 deg, I = 30
38.1 deg, I = 20